For KNiTe2O8, a crystal structure in Alexandria, relaxed with GGA+U gives the theoretical powder X-ray diffraction pattern in this record (copper Kα).
Neutral-atom scattering factors, no anomalous dispersion.

Atomic structure:
a b c (Å): 5.5597 5.5597 6.8165
angles (deg): 90.00 90.00 120.00
Fractional positions:
K  0.0000  0.0000  0.0000
Ni  0.0000  0.0000  0.5000
Te  0.3333  0.6667  0.4399
Te  0.6667  0.3333  0.5601
O  0.0640  0.3665  0.6225
O  0.3025  0.9360  0.6225
O  0.3333  0.6667  0.1657
O  0.3665  0.3025  0.3775
O  0.6335  0.6975  0.6225
O  0.6667  0.3333  0.8343
O  0.6975  0.0640  0.3775
O  0.9360  0.6335  0.3775

Top 8 peaks for 10 to 90 degrees two-theta, by angle:
| h k l | two_theta | intensity |
| --- | --- | --- |
| 0 0 1 | 13.0 | 100.0 |
| 0 1 1 | 22.6 | 26.1 |
| 0 0 2 | 26.1 | 14.7 |
| 1 1 0 | 32.2 | 47.8 |
| 2 -1 1 | 34.9 | 25.1 |
| 2 -1 2 | 41.9 | 25.4 |
| 2 -1 3 | 52.0 | 12.6 |
| 3 0 0 | 57.4 | 25.1 |